# TlSn6Pb12
Computed powder diffraction line list, Cu Kα X-rays. Input: a structure optimized by DFT (PBE).

Crystal structure
```
data_TlSn6Pb12
_symmetry_space_group_name_H-M 'I m -3'
_symmetry_Int_Tables_number 204
_symmetry_space_group_name_Hall '-I 2 2 3'
_cell_length_a 10.6568
_cell_length_b 10.6568
_cell_length_c 10.6568
_cell_angle_alpha 90.00
_cell_angle_beta 90.00
_cell_angle_gamma 90.00
loop_
_atom_site_label
_atom_site_fract_x
_atom_site_fract_y
_atom_site_fract_z
Tl1 0.0000 0.0000 0.0000
Sn1 0.0000 0.1375 0.5000
Pb1 0.0000 0.2461 0.2196
```

Peak list (12 most intense, 5 to 70 degrees two-theta, by angle)
- d = 3.076 Å, 2θ 29.03, rel. 100, hkl 2 2 2
- d = 2.848 Å, 2θ 31.41, rel. 48, hkl 3 1 2
- d = 2.664 Å, 2θ 33.64, rel. 66, hkl 4 0 0
- d = 2.512 Å, 2θ 35.75, rel. 16, hkl 4 1 1
- d = 2.383 Å, 2θ 37.75, rel. 11, hkl 4 2 0
- d = 2.272 Å, 2θ 39.67, rel. 14, hkl 3 3 2
- d = 2.090 Å, 2θ 43.29, rel. 11, hkl 5 1 0
- d = 1.884 Å, 2θ 48.31, rel. 27, hkl 4 4 0
- d = 1.776 Å, 2θ 51.45, rel. 13, hkl 4 4 2
- d = 1.644 Å, 2θ 55.92, rel. 19, hkl 5 1 4
- d = 1.607 Å, 2θ 57.35, rel. 36, hkl 6 2 2
- d = 1.353 Å, 2θ 69.45, rel. 12, hkl 7 2 3